Starting from the PBE+U geometry in Alexandria, the powder XRD pattern of BaZnW4O8 was simulated for Cu Kα.

Largest 10 diffraction maxima, in order of rising 2θ, 10 to 80 degrees two-theta:
2θ (°), I (rel.), hkl
24.4, 18.0, 0 0 2
30.3, 65.0, 1 0 2
31.0, 100.0, 1 1 0
39.8, 19.7, 2 -1 2
43.9, 26.4, 2 0 2
49.0, 15.3, 1 1 3
54.7, 27.0, 2 1 2
55.2, 24.8, 3 0 0
59.9, 19.2, 2 -1 4
64.6, 12.5, 2 2 0

Cell and atoms:
abc: 5.7686 5.7686 7.3060
angles: 90.00 90.00 120.00
Atoms (fractional coordinates):
Ba1 0.0000 0.0000 0.0000
Zn1 0.0000 0.0000 0.5000
W1 0.3333 0.6667 0.2831
W2 0.3333 0.6667 0.7169
W3 0.6667 0.3333 0.2831
W4 0.6667 0.3333 0.7169
O1 0.0000 0.2922 0.3143
O2 0.0000 0.7078 0.6857
O3 0.2922 0.0000 0.3143
O4 0.2922 0.2922 0.6857
O5 0.3333 0.6667 0.0000
O6 0.6667 0.3333 0.0000
O7 0.7078 0.0000 0.6857
O8 0.7078 0.7078 0.3143